[1]
# AlCr3O6
Computed powder XRD pattern, Cu Kα X-rays. Input: a structure optimized by DFT (PBE+U).
Intensities are scaled so that the largest is 100.

Structure:
abc: 5.9085 5.9085 14.4820
angles: 90.00 90.00 120.00
Sites, in units of the cell vectors:
Al 0.0000 0.0000 0.1270
Al 0.0000 0.0000 0.8730
Al 0.3333 0.6667 0.4548
Al 0.6667 0.3333 0.5452
Cr 0.0000 0.0000 0.5000
Cr 0.0000 0.5000 0.0000
Cr 0.1700 0.3399 0.6680
Cr 0.1700 0.8300 0.6680
Cr 0.3333 0.6667 0.8289
Cr 0.3399 0.1700 0.3320
Cr 0.5000 0.0000 0.0000
Cr 0.5000 0.5000 0.0000
Cr 0.6601 0.8300 0.6680
Cr 0.6667 0.3333 0.1711
Cr 0.8300 0.1700 0.3320
Cr 0.8300 0.6601 0.3320
O 0.0000 0.0000 0.2551
O 0.0000 0.0000 0.7449
O 0.0372 0.5186 0.7417
O 0.1622 0.3244 0.4181
O 0.1622 0.8378 0.4181
O 0.1685 0.3369 0.9158
O 0.1685 0.8315 0.9158
O 0.3244 0.1622 0.5819
O 0.3333 0.6667 0.0632
O 0.3333 0.6667 0.5812
O 0.3369 0.1685 0.0842
O 0.4814 0.5186 0.7417
O 0.4814 0.9628 0.7417
O 0.5186 0.0372 0.2583
O 0.5186 0.4814 0.2583
O 0.6631 0.8315 0.9158
O 0.6667 0.3333 0.4188
O 0.6667 0.3333 0.9368
O 0.6756 0.8378 0.4181
O 0.8315 0.1685 0.0842
O 0.8315 0.6631 0.0842
O 0.8378 0.1622 0.5819
O 0.8378 0.6756 0.5819
O 0.9628 0.4814 0.2583

Most intense lines, 2θ = 5–70°, most intense first:
| d_spacing | 2theta | I/Imax |
| --- | --- | --- |
| 2.520 | 35.6 | 100.0 |
| 4.825 | 18.4 | 97.0 |
| 2.089 | 43.3 | 74.3 |
| 1.477 | 62.9 | 60.8 |
| 1.608 | 57.3 | 34.8 |
| 2.413 | 37.3 | 13.1 |
| 1.413 | 66.1 | 11.9 |
| 1.917 | 47.4 | 11.9 |
| 2.955 | 30.2 | 7.1 |
| 3.511 | 25.4 | 3.9 |

[2]
# SrCa7Mn7CrO22
Computed powder XRD pattern, Cu Kα X-rays. Input: a structure optimized by DFT (PBE+U).
Intensities are scaled so that the largest is 100.

Structure:
abc: 7.7189 7.7189 7.6654
angles: 90.11 90.11 90.71
Sites, in units of the cell vectors:
Sr 0.0000 0.0000 0.0000
Ca 0.9996 0.4989 0.9890
Ca 0.0011 0.0011 0.4901
Ca 0.4967 0.9985 0.4979
Ca 0.4976 0.4976 0.9796
Ca 0.4989 0.9996 0.9890
Ca 0.4992 0.4992 0.5270
Ca 0.9985 0.4967 0.4979
Mn 0.2501 0.2501 0.7223
Mn 0.2498 0.7478 0.7346
Mn 0.2545 0.7431 0.2264
Mn 0.2556 0.2556 0.2441
Mn 0.7431 0.2545 0.2264
Mn 0.7478 0.2498 0.7346
Mn 0.7493 0.7493 0.7236
Cr 0.7406 0.7406 0.2422
O 0.0010 0.2498 0.7033
O 0.0033 0.2532 0.2473
O 0.2193 0.7792 0.9783
O 0.2461 0.4938 0.7754
O 0.2472 0.4917 0.1734
O 0.2498 0.0010 0.7033
O 0.2532 0.0033 0.2473
O 0.2827 0.7142 0.4786
O 0.2879 0.2879 0.4803
O 0.4917 0.2472 0.1734
O 0.4938 0.2461 0.7754
O 0.5040 0.7520 0.7737
O 0.5094 0.7495 0.1714
O 0.7078 0.7078 0.4727
O 0.7142 0.2827 0.4786
O 0.7445 0.9879 0.2374
O 0.7482 0.9981 0.6980
O 0.7495 0.5094 0.1714
O 0.7520 0.5040 0.7737
O 0.7792 0.2193 0.9783
O 0.9879 0.7445 0.2374
O 0.9981 0.7482 0.6980

Most intense lines, 2θ = 5–70°, most intense first:
| d_spacing | 2theta | I/Imax |
| --- | --- | --- |
| 2.719 | 32.9 | 100.0 |
| 1.930 | 47.1 | 41.1 |
| 2.746 | 32.6 | 19.8 |
| 2.712 | 33.0 | 19.5 |
| 1.580 | 58.4 | 19.0 |
| 1.916 | 47.4 | 16.0 |
| 1.568 | 58.9 | 13.2 |
| 1.566 | 59.0 | 9.0 |
| 1.571 | 58.8 | 8.5 |
| 1.361 | 69.0 | 8.3 |

[3]
# Li2TiMnO4
Computed powder XRD pattern, Cu Kα X-rays. Input: a structure optimized by DFT (PBE+U).
Intensities are scaled so that the largest is 100.

Structure:
abc: 4.0985 4.0985 9.4262
angles: 90.00 90.00 90.00
Sites, in units of the cell vectors:
Li 0.0000 0.0000 0.0000
Li 0.0000 0.5000 0.2500
Li 0.5000 0.0000 0.7500
Li 0.5000 0.5000 0.5000
Ti 0.0000 0.0000 0.5000
Ti 0.5000 0.5000 0.0000
Mn 0.0000 0.5000 0.7500
Mn 0.5000 0.0000 0.2500
O 0.0000 0.0000 0.2942
O 0.0000 0.0000 0.7058
O 0.0000 0.5000 0.5013
O 0.0000 0.5000 0.9987
O 0.5000 0.0000 0.0013
O 0.5000 0.0000 0.4987
O 0.5000 0.5000 0.2058
O 0.5000 0.5000 0.7942

Most intense lines, 2θ = 5–70°, most intense first:
| d_spacing | 2theta | I/Imax |
| --- | --- | --- |
| 3.759 | 23.7 | 100.0 |
| 2.049 | 44.2 | 50.5 |
| 2.357 | 38.2 | 32.7 |
| 1.546 | 59.8 | 29.0 |
| 1.799 | 50.7 | 21.2 |
| 2.494 | 36.0 | 17.0 |
| 2.469 | 36.4 | 16.0 |
| 1.449 | 64.3 | 13.6 |
| 1.713 | 53.5 | 13.4 |
| 1.583 | 58.3 | 7.7 |

[4]
# ZnCu3W4O16
Computed powder XRD pattern, Cu Kα X-rays. Input: a structure optimized by DFT (PBE+U).
Intensities are scaled so that the largest is 100.

Structure:
abc: 4.7667 5.0050 11.8992
angles: 87.36 83.97 86.48
Sites, in units of the cell vectors:
Zn 0.0000 0.0000 0.0000
Cu 0.0107 0.5093 0.1710
Cu 0.0168 0.5147 0.6688
Cu 0.0188 0.0193 0.5115
W 0.5045 0.0170 0.2572
W 0.5191 0.0278 0.7567
W 0.5208 0.5131 0.4256
W 0.5242 0.5156 0.9266
O 0.2467 0.6731 0.5333
O 0.2502 0.6641 0.0335
O 0.2599 0.1849 0.1643
O 0.2756 0.1974 0.6651
O 0.2963 0.1973 0.4008
O 0.2962 0.7104 0.2977
O 0.3066 0.2053 0.8988
O 0.3132 0.7208 0.7973
O 0.7259 0.8208 0.3886
O 0.7272 0.3338 0.2821
O 0.7395 0.8295 0.8914
O 0.7438 0.3402 0.7823
O 0.7643 0.3453 0.0187
O 0.7651 0.3383 0.5166
O 0.7786 0.8529 0.1544
O 0.7923 0.8630 0.6514

Most intense lines, 2θ = 5–70°, most intense first:
| d_spacing | 2theta | I/Imax |
| --- | --- | --- |
| 3.186 | 28.0 | 100.0 |
| 3.893 | 22.8 | 85.4 |
| 2.967 | 30.1 | 79.1 |
| 2.903 | 30.8 | 70.3 |
| 4.733 | 18.7 | 70.1 |
| 2.853 | 31.4 | 63.5 |
| 1.769 | 51.7 | 51.4 |
| 3.523 | 25.3 | 48.7 |
| 2.496 | 36.0 | 45.8 |
| 2.589 | 34.6 | 44.6 |

[5]
# Mn2OF3
Computed powder XRD pattern, Cu Kα X-rays. Input: a structure optimized by DFT (PBE+U).
Intensities are scaled so that the largest is 100.

Structure:
abc: 5.8077 5.8077 9.4797
angles: 93.67 93.67 72.11
Sites, in units of the cell vectors:
Mn 0.0000 0.0000 0.0000
Mn 0.1141 0.1141 0.6082
Mn 0.2545 0.2545 0.2371
Mn 0.3538 0.3538 0.8848
Mn 0.5000 0.5000 0.5000
Mn 0.6462 0.6462 0.1152
Mn 0.7455 0.7455 0.7629
Mn 0.8859 0.8859 0.3918
O 0.1881 0.8119 0.5000
O 0.2057 0.2057 0.0276
O 0.7943 0.7943 0.9724
O 0.8119 0.1881 0.5000
F 0.0233 0.0233 0.2186
F 0.0471 0.4245 0.7326
F 0.2783 0.2783 0.4581
F 0.3062 0.6938 0.0000
F 0.4245 0.0471 0.7326
F 0.4831 0.4831 0.2656
F 0.5169 0.5169 0.7344
F 0.5755 0.9529 0.2674
F 0.6938 0.3062 0.0000
F 0.7217 0.7217 0.5419
F 0.9529 0.5755 0.2674
F 0.9767 0.9767 0.7814

Most intense lines, 2θ = 5–70°, most intense first:
| d_spacing | 2theta | I/Imax |
| --- | --- | --- |
| 3.418 | 26.1 | 100.0 |
| 3.465 | 25.7 | 98.1 |
| 2.683 | 33.4 | 46.2 |
| 2.666 | 33.6 | 46.1 |
| 1.450 | 64.2 | 33.5 |
| 1.791 | 51.0 | 30.8 |
| 1.796 | 50.8 | 30.4 |
| 1.814 | 50.3 | 29.3 |
| 2.338 | 38.5 | 27.6 |
| 1.799 | 50.7 | 27.2 |

[6]
# Mg6CrSiO8
Computed powder XRD pattern, Cu Kα X-rays. Input: a structure optimized by DFT (PBE+U).
Intensities are scaled so that the largest is 100.

Structure:
abc: 4.3727 4.3727 8.5681
angles: 90.00 90.00 90.00
Sites, in units of the cell vectors:
Mg 0.0000 0.0000 0.0000
Mg 0.0000 0.0000 0.5000
Mg 0.0000 0.5000 0.2468
Mg 0.0000 0.5000 0.7532
Mg 0.5000 0.0000 0.2468
Mg 0.5000 0.0000 0.7532
Cr 0.5000 0.5000 0.0000
Si 0.5000 0.5000 0.5000
O 0.0000 0.0000 0.2513
O 0.0000 0.0000 0.7487
O 0.0000 0.5000 0.0000
O 0.0000 0.5000 0.5000
O 0.5000 0.0000 0.0000
O 0.5000 0.0000 0.5000
O 0.5000 0.5000 0.2438
O 0.5000 0.5000 0.7562

Most intense lines, 2θ = 5–70°, most intense first:
| d_spacing | 2theta | I/Imax |
| --- | --- | --- |
| 2.186 | 41.3 | 100.0 |
| 1.530 | 60.5 | 54.5 |
| 2.142 | 42.2 | 46.5 |
| 1.546 | 59.8 | 28.5 |
| 2.507 | 35.8 | 24.8 |
| 8.568 | 10.3 | 8.3 |
| 4.373 | 20.3 | 5.3 |
| 3.895 | 22.8 | 5.3 |
| 3.060 | 29.2 | 4.1 |
| 4.284 | 20.7 | 2.5 |

[7]
# BaMoSeO6
Computed powder XRD pattern, Cu Kα X-rays. Input: a structure optimized by DFT (PBE+U).
Intensities are scaled so that the largest is 100.

Structure:
abc: 6.3752 10.3511 8.5648
angles: 90.00 94.82 90.00
Sites, in units of the cell vectors:
Ba 0.2354 0.1914 0.0117
Ba 0.2354 0.3086 0.5117
Ba 0.7646 0.6914 0.4883
Ba 0.7646 0.8086 0.9883
Mo 0.2730 0.5794 0.2305
Mo 0.2730 0.9206 0.7305
Mo 0.7270 0.0794 0.2695
Mo 0.7270 0.4206 0.7695
Se 0.2079 0.6017 0.8228
Se 0.2079 0.8983 0.3228
Se 0.7921 0.1017 0.6772
Se 0.7921 0.3983 0.1772
O 0.0587 0.0182 0.2253
O 0.0587 0.4818 0.7253
O 0.0838 0.7388 0.7398
O 0.0838 0.7612 0.2398
O 0.1077 0.6145 0.0033
O 0.1077 0.8855 0.5033
O 0.3152 0.0887 0.6965
O 0.3152 0.4113 0.1965
O 0.3190 0.5877 0.4393
O 0.3190 0.9123 0.9393
O 0.4907 0.1533 0.3259
O 0.4907 0.3466 0.8259
O 0.5093 0.6534 0.1741
O 0.5093 0.8466 0.6741
O 0.6810 0.0877 0.0607
O 0.6810 0.4123 0.5607
O 0.6848 0.5887 0.8035
O 0.6848 0.9113 0.3035
O 0.8923 0.1145 0.4967
O 0.8923 0.3855 0.9967
O 0.9162 0.2388 0.7602
O 0.9162 0.2612 0.2602
O 0.9413 0.5182 0.2747
O 0.9413 0.9818 0.7747

Most intense lines, 2θ = 5–70°, most intense first:
| d_spacing | 2theta | I/Imax |
| --- | --- | --- |
| 3.032 | 29.5 | 100.0 |
| 3.241 | 27.5 | 92.4 |
| 3.708 | 24.0 | 85.2 |
| 3.176 | 28.1 | 81.9 |
| 3.475 | 25.6 | 73.8 |
| 3.292 | 27.1 | 58.4 |
| 2.217 | 40.7 | 35.1 |
| 1.806 | 50.5 | 32.5 |
| 2.743 | 32.6 | 32.1 |
| 1.714 | 53.4 | 24.8 |